The following is a computed powder diffractogram of Hg2Pt3O8. It was derived from a cell relaxed with GGA-PBE, using λ = 1.5418 Å (Cu Kα).
Neutral-atom scattering factors, no anomalous dispersion.

Largest 12 diffraction maxima, in order of falling intensity, 10° ≤ 2θ ≤ 80°:
| (hkl) | two_theta | I (rel.) |
| --- | --- | --- |
| 0 2 1 | 33.22 | 100 |
| 3 1 -1 | 29.74 | 81 |
| 1 1 1 | 25.45 | 72 |
| 2 2 0 | 32.94 | 53 |
| 4 2 1 | 51.69 | 53 |
| 3 1 0 | 28.83 | 51 |
| 2 2 -1 | 35.00 | 45 |
| 2 0 1 | 27.25 | 44 |
| 2 0 -2 | 34.01 | 44 |
| 4 0 0 | 33.65 | 42 |
| 2 2 -3 | 59.22 | 39 |
| 6 2 -1 | 57.77 | 36 |

Structural model:
```
data_Hg2Pt3O8
_chemical_formula_sum 'Hg4 Pt6 O16'
_cell_length_a 11.1114
_cell_length_b 6.3237
_cell_length_c 5.3860
_cell_angle_alpha 90.00
_cell_angle_beta 106.49
_cell_angle_gamma 90.00
_symmetry_space_group_name_H-M 'C 1 2/m 1'
_symmetry_Int_Tables_number 12
loop_
_symmetry_equiv_pos_as_xyz
'x,y,z'
'-x,-y,-z'
'-x,y,-z'
'x,-y,z'
'x+1/2,y+1/2,z'
'-x+1/2,-y+1/2,-z'
'-x+1/2,y+1/2,-z'
'x+1/2,-y+1/2,z'
loop_
_atom_site_label
_atom_site_type_symbol
_atom_site_fract_x
_atom_site_fract_y
_atom_site_fract_z
_atom_site_occupancy
Hg1 Hg 0.2127 0.0000 0.1433 1
Pt1 Pt 0.0000 0.2491 0.5000 1
Pt2 Pt 0.0000 0.5000 0.0000 1
O1 O 0.0940 0.5000 0.3918 1
O2 O 0.1024 0.0000 0.4390 1
O3 O 0.1065 0.2826 0.8762 1
```